1.
Calculated powder X-ray diffraction pattern of Ac12Co4Pd for Cu Kα, 1.54184 Å, from a DFT-relaxed cell (GGA-PBE, Alexandria).
Lines closer than 0.1° are merged.

Crystal structure
```
data_Ac12Co4Pd
_chemical_formula_sum 'Ac12 Co4 Pd1'
_cell_length_a 9.4563
_cell_length_b 9.4563
_cell_length_c 9.4563
_cell_angle_alpha 109.84
_cell_angle_beta 109.36
_cell_angle_gamma 109.21
_space_group_name_H-M_alt 'P 1'
_space_group_IT_number 1
loop_
_space_group_symop_operation_xyz
'x,y,z'
loop_
_atom_site_label
_atom_site_fract_x
_atom_site_fract_y
_atom_site_fract_z
Ac1 0.0260 0.8154 0.2106
Ac2 0.1797 0.4708 0.2912
Ac3 0.1797 0.8885 0.7088
Ac4 0.3164 0.3090 0.6255
Ac5 0.3164 0.6910 0.0074
Ac6 0.3951 0.1846 0.2106
Ac7 0.6049 0.8154 0.7894
Ac8 0.6836 0.3090 0.9926
Ac9 0.6836 0.6910 0.3745
Ac10 0.8203 0.1115 0.2912
Ac11 0.8203 0.5292 0.7088
Ac12 0.9740 0.1846 0.7894
Co1 0.0000 0.0000 0.5000
Co2 0.0000 0.5000 0.0000
Co3 0.5000 0.0000 0.0000
Co4 0.5000 0.5000 0.5000
Pd1 0.0000 0.0000 0.0000
```

Top 10 peaks for 10° ≤ 2θ ≤ 90°, most intense first:
- 30.6°, I 100.0
- 25.7°, I 94.7
- 28.3°, I 55.6
- 25.9°, I 54.7
- 48.5°, I 43.3
- 51.7°, I 32.2
- 51.5°, I 23.5
- 38.7°, I 21.4
- 32.7°, I 20.7
- 30.7°, I 20.7

2.
Calculated powder X-ray diffraction pattern of La2PtCl for Cu Kα, 1.54184 Å, from a DFT-relaxed cell (GGA-PBE, Alexandria).
Lines closer than 0.1° are merged.

Crystal structure
```
data_La2PtCl
_chemical_formula_sum 'La2 Pt1 Cl1'
_cell_length_a 8.1377
_cell_length_b 8.1377
_cell_length_c 8.1377
_cell_angle_alpha 30.04
_cell_angle_beta 30.04
_cell_angle_gamma 30.04
_space_group_name_H-M_alt 'P 1'
_space_group_IT_number 1
loop_
_space_group_symop_operation_xyz
'x,y,z'
loop_
_atom_site_label
_atom_site_fract_x
_atom_site_fract_y
_atom_site_fract_z
La1 0.0000 0.0000 0.0000
La2 0.1949 0.1949 0.1949
Pt1 0.5977 0.5977 0.5977
Cl1 0.4277 0.4277 0.4277
```

Top 10 peaks for 10° ≤ 2θ ≤ 90°, most intense first:
- 31.1°, I 100.0
- 11.4°, I 72.2
- 25.6°, I 49.2
- 42.9°, I 43.9
- 46.2°, I 29.1
- 36.5°, I 28.1
- 53.9°, I 21.1
- 71.2°, I 18.3
- 44.5°, I 16.8
- 65.3°, I 12.8

3.
Calculated powder X-ray diffraction pattern of Rb2BeF4 for Cu Kα, 1.54184 Å, from a DFT-relaxed cell (GGA-PBE, Alexandria).
Lines closer than 0.1° are merged.

Crystal structure
```
data_Rb2BeF4
_chemical_formula_sum 'Rb8 Be4 F16'
_cell_length_a 7.7905
_cell_length_b 10.4219
_cell_length_c 5.9777
_cell_angle_alpha 90.00
_cell_angle_beta 90.00
_cell_angle_gamma 90.00
_space_group_name_H-M_alt 'P 1'
_space_group_IT_number 1
loop_
_space_group_symop_operation_xyz
'x,y,z'
loop_
_atom_site_label
_atom_site_fract_x
_atom_site_fract_y
_atom_site_fract_z
Rb1 0.0106 0.1927 0.0001
Rb2 0.1628 0.4088 0.5000
Rb3 0.3372 0.9088 0.0000
Rb4 0.4894 0.6927 0.5001
Rb5 0.5106 0.3073 0.0001
Rb6 0.6628 0.0912 0.5000
Rb7 0.8372 0.5912 0.0000
Rb8 0.9894 0.8073 0.5001
Be1 0.2368 0.0810 0.5007
Be2 0.2632 0.5810 0.0007
Be3 0.7368 0.4190 0.5007
Be4 0.7632 0.9190 0.0007
F1 0.0358 0.0844 0.5017
F2 0.1927 0.4391 0.9989
F3 0.1938 0.6499 0.2163
F4 0.1948 0.6517 0.7864
F5 0.3052 0.1517 0.2864
F6 0.3062 0.1499 0.7163
F7 0.3073 0.9391 0.4989
F8 0.4642 0.5844 0.0017
F9 0.5358 0.4156 0.5017
F10 0.6927 0.0609 0.9989
F11 0.6938 0.8501 0.2163
F12 0.6948 0.8483 0.7864
F13 0.8052 0.3483 0.2864
F14 0.8062 0.3501 0.7163
F15 0.8073 0.5609 0.4989
F16 0.9642 0.9156 0.0017
```

Top 10 peaks for 10° ≤ 2θ ≤ 90°, most intense first:
- 28.7°, I 100.0
- 29.7°, I 71.0
- 25.4°, I 68.6
- 29.9°, I 62.6
- 35.6°, I 52.3
- 36.5°, I 42.2
- 52.0°, I 31.1
- 41.9°, I 25.7
- 20.6°, I 25.6
- 47.2°, I 25.4

4.
Calculated powder X-ray diffraction pattern of Mg4H3Ir2 for Cu Kα, 1.54184 Å, from a DFT-relaxed cell (GGA-PBE, Alexandria).
Lines closer than 0.1° are merged.

Crystal structure
```
data_Mg4H3Ir2
_chemical_formula_sum 'Mg4 H3 Ir2'
_cell_length_a 4.5928
_cell_length_b 4.5928
_cell_length_c 7.4112
_cell_angle_alpha 112.69
_cell_angle_beta 112.69
_cell_angle_gamma 61.38
_space_group_name_H-M_alt 'P 1'
_space_group_IT_number 1
loop_
_space_group_symop_operation_xyz
'x,y,z'
loop_
_atom_site_label
_atom_site_fract_x
_atom_site_fract_y
_atom_site_fract_z
Mg1 0.1556 0.1556 0.3702
Mg2 0.2462 0.3115 0.8728
Mg3 0.6885 0.7538 0.1272
Mg4 0.8444 0.8444 0.6298
H1 0.2612 0.7388 0.5000
H2 0.6672 0.2503 0.1162
H3 0.7497 0.3328 0.8838
Ir1 0.4734 0.4642 0.3015
Ir2 0.5358 0.5266 0.6985
```

Top 10 peaks for 10° ≤ 2θ ≤ 90°, most intense first:
- 22.8°, I 100.0
- 39.8°, I 35.6
- 39.4°, I 30.1
- 25.2°, I 25.6
- 26.9°, I 24.8
- 38.4°, I 23.7
- 37.1°, I 21.6
- 46.2°, I 20.4
- 22.6°, I 19.9
- 13.4°, I 19.0

5.
Calculated powder X-ray diffraction pattern of Sn4S5 for Cu Kα, 1.54184 Å, from a DFT-relaxed cell (GGA-PBE, Alexandria).
Lines closer than 0.1° are merged.

Crystal structure
```
data_Sn4S5
_chemical_formula_sum 'Sn4 S5'
_cell_length_a 3.8792
_cell_length_b 6.9415
_cell_length_c 10.0819
_cell_angle_alpha 89.80
_cell_angle_beta 81.68
_cell_angle_gamma 80.86
_space_group_name_H-M_alt 'P 1'
_space_group_IT_number 1
loop_
_space_group_symop_operation_xyz
'x,y,z'
loop_
_atom_site_label
_atom_site_fract_x
_atom_site_fract_y
_atom_site_fract_z
Sn1 0.1824 0.0793 0.1368
Sn2 0.2862 0.3495 0.6223
Sn3 0.7138 0.6505 0.3777
Sn4 0.8176 0.9207 0.8632
S1 0.2611 0.7163 0.2074
S2 0.4092 0.8178 0.7019
S3 0.5000 0.0000 0.5000
S4 0.5908 0.1822 0.2981
S5 0.7389 0.2837 0.7926
```

Top 10 peaks for 10° ≤ 2θ ≤ 90°, most intense first:
- 27.4°, I 100.0
- 27.6°, I 45.2
- 15.8°, I 43.1
- 31.7°, I 35.6
- 22.3°, I 20.5
- 29.6°, I 20.2
- 34.5°, I 18.5
- 47.3°, I 17.7
- 21.8°, I 17.6
- 12.9°, I 17.4

6.
Calculated powder X-ray diffraction pattern of ThSc4 for Cu Kα, 1.54184 Å, from a DFT-relaxed cell (GGA-PBE, Alexandria).
Lines closer than 0.1° are merged.

Crystal structure
```
data_ThSc4
_chemical_formula_sum 'Th1 Sc4'
_cell_length_a 8.2258
_cell_length_b 8.2258
_cell_length_c 3.2872
_cell_angle_alpha 90.00
_cell_angle_beta 90.00
_cell_angle_gamma 144.50
_space_group_name_H-M_alt 'P 1'
_space_group_IT_number 1
loop_
_space_group_symop_operation_xyz
'x,y,z'
loop_
_atom_site_label
_atom_site_fract_x
_atom_site_fract_y
_atom_site_fract_z
Th1 0.0000 0.0000 0.0000
Sc1 0.2018 0.7982 0.0000
Sc2 0.3871 0.6129 0.5000
Sc3 0.6129 0.3871 0.5000
Sc4 0.7982 0.2018 0.0000
```

Top 10 peaks for 10° ≤ 2θ ≤ 90°, most intense first:
- 33.1°, I 100.0
- 33.7°, I 73.4
- 11.3°, I 72.3
- 18.6°, I 64.1
- 35.7°, I 46.7
- 24.6°, I 41.0
- 51.4°, I 32.4
- 35.8°, I 32.3
- 43.8°, I 24.5
- 44.3°, I 21.5